Entry 1:
This entry pairs a crystal structure of HoAl3Pb2O8 with its simulated powder diffractogram. Radiation: Cu Kα. Structure: the GGA-PBE geometry in the Materials Project.
Kinematic intensities with the Lorentz-polarization factor, no thermal factor.

Peak list (12 most intense, 2θ = 10–90°, sorted by position)
| 2theta | Rel. int. |
| --- | --- |
| 13.14 | 71 |
| 18.63 | 23 |
| 28.10 | 100 |
| 29.65 | 76 |
| 31.13 | 71 |
| 38.98 | 21 |
| 40.15 | 46 |
| 48.73 | 29 |
| 49.72 | 39 |
| 54.48 | 40 |
| 55.39 | 25 |
| 56.30 | 22 |

Cell and atoms:
```
data_HoAl3Pb2O8
_chemical_formula_sum 'Ho4 Al12 Pb8 O32'
_symmetry_space_group_name_H-M 'P n -3 m'
_symmetry_Int_Tables_number 224
_cell_length_a 9.528
_cell_length_b 9.528
_cell_length_c 9.528
_cell_angle_alpha 90.00
_cell_angle_beta 90.00
_cell_angle_gamma 90.00
loop_
_symmetry_equiv_pos_as_xyz
'x,y,z'
'-x,-y,-z'
'-y,x+1/2,z+1/2'
'y,-x+1/2,-z+1/2'
'-x+1/2,-y+1/2,z'
'x+1/2,y+1/2,-z'
'y+1/2,-x,z+1/2'
'-y+1/2,x,-z+1/2'
'x,-y+1/2,-z+1/2'
'-x,y+1/2,z+1/2'
'-y,-x,-z'
'y,x,z'
'-x+1/2,y,-z+1/2'
'x+1/2,-y,z+1/2'
'y+1/2,x+1/2,-z'
'-y+1/2,-x+1/2,z'
'z,x,y'
'-z,-x,-y'
'z+1/2,-y,x+1/2'
'-z+1/2,y,-x+1/2'
'z,-x+1/2,-y+1/2'
'-z,x+1/2,y+1/2'
'z+1/2,y+1/2,-x'
'-z+1/2,-y+1/2,x'
'-z+1/2,x,-y+1/2'
'z+1/2,-x,y+1/2'
'-z,-y,-x'
'z,y,x'
'-z+1/2,-x+1/2,y'
'z+1/2,x+1/2,-y'
'-z,y+1/2,x+1/2'
'z,-y+1/2,-x+1/2'
'y,z,x'
'-y,-z,-x'
'x+1/2,z+1/2,-y'
'-x+1/2,-z+1/2,y'
'-y+1/2,z,-x+1/2'
'y+1/2,-z,x+1/2'
'-x,z+1/2,y+1/2'
'x,-z+1/2,-y+1/2'
'-y+1/2,-z+1/2,x'
'y+1/2,z+1/2,-x'
'-x,-z,-y'
'x,z,y'
'y,-z+1/2,-x+1/2'
'-y,z+1/2,x+1/2'
'x+1/2,-z,y+1/2'
'-x+1/2,z,-y+1/2'
loop_
_atom_site_label
_atom_site_type_symbol
_atom_site_fract_x
_atom_site_fract_y
_atom_site_fract_z
Ho1 Ho 0.000 0.000 0.000
Al1 Al 0.000 0.250 0.750
Pb1 Pb 0.116 0.116 0.384
O1 O 0.091 0.091 0.765
O2 O 0.137 0.137 0.137
```



Entry 2:
This entry pairs a crystal structure of ZrSnN2 with its simulated powder diffractogram. Radiation: Cu Kα. Structure: the GGA-PBE geometry in the Materials Project.
Kinematic intensities with the Lorentz-polarization factor, no thermal factor.

Peak list (12 most intense, 2θ = 10–90°, sorted by position)
| 2theta | Rel. int. |
| --- | --- |
| 31.51 | 100 |
| 31.66 | 58 |
| 33.32 | 4 |
| 44.94 | 10 |
| 45.39 | 27 |
| 56.01 | 25 |
| 56.30 | 40 |
| 65.78 | 13 |
| 66.13 | 8 |
| 74.44 | 7 |
| 75.14 | 19 |
| 83.54 | 7 |

Cell and atoms:
```
data_ZrSnN2
_chemical_formula_sum 'Zr2 Sn2 N4'
_symmetry_space_group_name_H-M 'P 4/n m m'
_symmetry_Int_Tables_number 129
_cell_length_a 3.997
_cell_length_b 3.997
_cell_length_c 8.068
_cell_angle_alpha 90.00
_cell_angle_beta 90.00
_cell_angle_gamma 90.00
loop_
_symmetry_equiv_pos_as_xyz
'x,y,z'
'-x,-y,-z'
'-y+1/2,x,z'
'y+1/2,-x,-z'
'-x+1/2,-y+1/2,z'
'x+1/2,y+1/2,-z'
'y,-x+1/2,z'
'-y,x+1/2,-z'
'x+1/2,-y,-z'
'-x+1/2,y,z'
'-y,-x,-z'
'y,x,z'
'-x,y+1/2,-z'
'x,-y+1/2,z'
'y+1/2,x+1/2,-z'
'-y+1/2,-x+1/2,z'
loop_
_atom_site_label
_atom_site_type_symbol
_atom_site_fract_x
_atom_site_fract_y
_atom_site_fract_z
Zr1 Zr 0.250 0.250 0.106
Sn1 Sn 0.250 0.250 0.631
N1 N 0.250 0.250 0.369
N2 N 0.250 0.750 0.000
```



Question: Number 2 is which compound?
Answer: ZrSnN2



Repeat the second record exactly.
This entry pairs a crystal structure of ZrSnN2 with its simulated powder diffractogram. Radiation: Cu Kα. Structure: the GGA-PBE geometry in the Materials Project.
Kinematic intensities with the Lorentz-polarization factor, no thermal factor.

Peak list (12 most intense, 2θ = 10–90°, sorted by position)
| 2theta | Rel. int. |
| --- | --- |
| 31.51 | 100 |
| 31.66 | 58 |
| 33.32 | 4 |
| 44.94 | 10 |
| 45.39 | 27 |
| 56.01 | 25 |
| 56.30 | 40 |
| 65.78 | 13 |
| 66.13 | 8 |
| 74.44 | 7 |
| 75.14 | 19 |
| 83.54 | 7 |

Cell and atoms:
```
data_ZrSnN2
_chemical_formula_sum 'Zr2 Sn2 N4'
_symmetry_space_group_name_H-M 'P 4/n m m'
_symmetry_Int_Tables_number 129
_cell_length_a 3.997
_cell_length_b 3.997
_cell_length_c 8.068
_cell_angle_alpha 90.00
_cell_angle_beta 90.00
_cell_angle_gamma 90.00
loop_
_symmetry_equiv_pos_as_xyz
'x,y,z'
'-x,-y,-z'
'-y+1/2,x,z'
'y+1/2,-x,-z'
'-x+1/2,-y+1/2,z'
'x+1/2,y+1/2,-z'
'y,-x+1/2,z'
'-y,x+1/2,-z'
'x+1/2,-y,-z'
'-x+1/2,y,z'
'-y,-x,-z'
'y,x,z'
'-x,y+1/2,-z'
'x,-y+1/2,z'
'y+1/2,x+1/2,-z'
'-y+1/2,-x+1/2,z'
loop_
_atom_site_label
_atom_site_type_symbol
_atom_site_fract_x
_atom_site_fract_y
_atom_site_fract_z
Zr1 Zr 0.250 0.250 0.106
Sn1 Sn 0.250 0.250 0.631
N1 N 0.250 0.250 0.369
N2 N 0.250 0.750 0.000
```



Question: Which formula does entry 2 have?
Answer: ZrSnN2